Record 1
Simulated powder diffraction line list
Compound: ThMg16Al12
Radiation: a wavelength of 1.5418 Å
Structure: a DFT-relaxed cell (PBE, the Materials Project)
Neutral-atom scattering factors, no anomalous dispersion.

Cell and atoms:
```
ThMg16Al12
1.0
-5.297 5.297 5.297
5.297 -5.297 5.297
5.297 5.297 -5.297
Th Mg Al
1 16 12
Cartesian
0.000 0.000 0.000 Th
3.357 3.357 -3.357 Mg
5.699 1.500 -1.500 Mg
3.357 -3.357 3.357 Mg
5.699 -1.500 1.500 Mg
4.895 1.500 1.500 Mg
3.796 3.796 -0.402 Mg
3.796 -0.402 3.796 Mg
1.940 1.940 1.940 Mg
1.500 5.699 -1.500 Mg
1.500 -1.500 5.699 Mg
1.500 4.895 1.500 Mg
1.500 1.500 4.895 Mg
-3.357 3.357 3.357 Mg
-1.500 5.699 1.500 Mg
-1.500 1.500 5.699 Mg
-0.402 3.796 3.796 Mg
2.947 0.970 -0.970 Al
2.947 -0.970 0.970 Al
7.646 0.970 0.970 Al
0.970 2.947 -0.970 Al
0.970 -0.970 2.947 Al
-0.970 2.947 0.970 Al
-0.970 0.970 2.947 Al
4.327 4.327 2.349 Al
4.327 2.349 4.327 Al
0.970 7.646 0.970 Al
0.970 0.970 7.646 Al
2.349 4.327 4.327 Al
```

Top 6 peaks for 2θ = 10–90°, in order of rising 2θ:
- d 7.491, 2θ 11.81, I = 68
- d 4.325, 2θ 20.54, I = 36
- d 3.350, 2θ 26.61, I = 22
- d 2.831, 2θ 31.60, I = 35
- d 2.497, 2θ 35.97, I = 100
- d 1.442, 2θ 64.66, I = 30

=====

Record 2
Simulated powder diffraction line list
Compound: Ca4Si3O11
Radiation: a wavelength of 1.5418 Å
Structure: a DFT-relaxed cell (PBE, the Materials Project)
Neutral-atom scattering factors, no anomalous dispersion.

Cell and atoms:
```
Ca4Si3O11
1.0
6.962 0.000 0.000
-0.018 7.489 0.000
-3.228 -0.099 10.078
Ca Si O
8 6 22
Cartesian
-0.362 2.820 4.089 Ca
-0.323 6.458 4.251 Ca
1.267 4.684 1.308 Ca
1.279 0.914 1.356 Ca
2.437 6.476 8.722 Ca
2.450 2.706 8.769 Ca
4.039 0.933 5.827 Ca
4.078 4.570 5.989 Ca
-1.339 6.771 8.458 Si
-1.314 2.416 8.501 Si
0.443 4.579 7.159 Si
3.273 2.811 2.918 Si
5.031 4.974 1.576 Si
5.056 0.619 1.619 Si
-0.749 4.682 2.664 O
-0.725 0.888 2.716 O
-0.609 0.944 5.390 O
-1.925 6.427 9.927 O
-1.861 2.723 9.991 O
-0.362 4.564 5.752 O
-0.805 0.846 8.434 O
1.462 6.534 2.793 O
1.659 2.784 2.970 O
0.042 5.926 8.075 O
0.071 3.258 8.113 O
3.645 4.132 1.964 O
3.675 1.464 2.002 O
2.058 4.606 7.108 O
2.254 0.856 7.285 O
4.521 6.544 1.644 O
4.078 2.826 4.326 O
5.577 4.667 0.087 O
5.642 0.963 0.150 O
4.325 6.446 4.687 O
4.442 6.502 7.362 O
4.466 2.708 7.414 O
```

Top 6 peaks for 2θ = 10–90°, in order of rising 2θ:
- d 6.630, 2θ 13.35, I = 37
- d 3.315, 2θ 26.90, I = 57
- d 3.020, 2θ 29.58, I = 88
- d 2.991, 2θ 29.87, I = 100
- d 2.298, 2θ 39.20, I = 35
- d 1.872, 2θ 48.63, I = 40

=====

Record 3
Simulated powder diffraction line list
Compound: Sn3As
Radiation: a wavelength of 1.5418 Å
Structure: a DFT-relaxed cell (PBE, the Materials Project)
Neutral-atom scattering factors, no anomalous dispersion.

Cell and atoms:
```
Sn3As
1.0
6.511 0.000 0.000
-3.256 5.639 0.000
0.000 0.000 5.620
Sn As
6 2
Cartesian
0.000 1.899 1.405 Sn
-1.611 4.689 1.405 Sn
1.644 0.949 4.215 Sn
1.611 4.689 1.405 Sn
4.867 0.949 4.215 Sn
3.256 3.740 4.215 Sn
0.000 3.759 4.215 As
3.256 1.880 1.405 As
```

Top 6 peaks for 2θ = 10–90°, in order of rising 2θ:
- d 2.819, 2θ 31.74, I = 23
- d 2.810, 2θ 31.85, I = 30
- d 2.520, 2θ 35.63, I = 100
- d 1.628, 2θ 56.54, I = 18
- d 1.560, 2θ 59.22, I = 24
- d 1.409, 2θ 66.36, I = 25

=====

Record 4
Simulated powder diffraction line list
Compound: LaTlAu2
Radiation: a wavelength of 1.5418 Å
Structure: a DFT-relaxed cell (PBE, the Materials Project)
Neutral-atom scattering factors, no anomalous dispersion.

Cell and atoms:
```
LaTlAu2
1.0
7.337 0.000 0.000
0.000 7.337 0.000
0.000 0.000 7.337
La Tl Au
4 4 8
Cartesian
0.000 0.000 0.000 La
0.000 3.668 3.668 La
3.668 0.000 3.668 La
3.668 3.668 0.000 La
0.000 0.000 3.668 Tl
0.000 3.668 0.000 Tl
3.668 0.000 0.000 Tl
3.668 3.668 3.668 Tl
1.834 1.834 1.834 Au
1.834 1.834 5.502 Au
1.834 5.502 1.834 Au
1.834 5.502 5.502 Au
5.502 1.834 1.834 Au
5.502 1.834 5.502 Au
5.502 5.502 1.834 Au
5.502 5.502 5.502 Au
```

Top 6 peaks for 2θ = 10–90°, in order of rising 2θ:
- d 4.236, 2θ 20.97, I = 2
- d 2.594, 2θ 34.58, I = 100
- d 1.834, 2θ 49.71, I = 18
- d 1.498, 2θ 61.97, I = 38
- d 1.297, 2θ 72.94, I = 12
- d 1.160, 2θ 83.30, I = 17

=====

Record 5
Simulated powder diffraction line list
Compound: Mg17Al11Pd
Radiation: a wavelength of 1.5418 Å
Structure: a DFT-relaxed cell (PBE, the Materials Project)
Neutral-atom scattering factors, no anomalous dispersion.

Cell and atoms:
```
Mg17Al11Pd
1.0
5.249 -7.408 0.000
5.249 7.408 0.000
-5.128 0.000 7.369
Mg Al Pd
17 11 1
Cartesian
0.000 0.000 0.000 Mg
-3.313 0.000 4.769 Mg
-1.525 2.508 4.766 Mg
0.336 2.299 1.915 Mg
3.351 2.943 2.470 Mg
0.336 -2.299 1.915 Mg
1.437 2.065 4.787 Mg
-1.525 -2.508 4.766 Mg
2.211 0.000 2.699 Mg
5.585 2.343 0.373 Mg
1.437 -2.065 4.787 Mg
3.430 2.953 7.121 Mg
5.266 0.000 2.256 Mg
3.351 -2.943 2.470 Mg
2.346 0.000 6.940 Mg
5.585 -2.343 0.373 Mg
3.430 -2.953 7.121 Mg
2.860 6.063 2.130 Al
2.789 1.361 0.117 Al
0.979 4.706 6.154 Al
-0.416 0.000 6.039 Al
2.789 -1.361 0.117 Al
4.243 1.342 4.807 Al
6.177 2.706 3.411 Al
4.243 -1.342 4.807 Al
0.979 -4.706 6.154 Al
2.860 -6.063 2.130 Al
6.177 -2.706 3.411 Al
-0.503 0.000 3.472 Pd
```

Top 6 peaks for 2θ = 10–90°, in order of rising 2θ:
- d 7.434, 2θ 11.91, I = 34
- d 7.365, 2θ 12.02, I = 26
- d 2.484, 2θ 36.16, I = 26
- d 2.471, 2θ 36.36, I = 100
- d 2.453, 2θ 36.63, I = 54
- d 2.237, 2θ 40.31, I = 29

=====

Record 6
Simulated powder diffraction line list
Compound: CaTi4O6
Radiation: a wavelength of 1.5418 Å
Structure: a DFT-relaxed cell (PBE, the Materials Project)
Neutral-atom scattering factors, no anomalous dispersion.

Cell and atoms:
```
CaTi4O6
1.0
1.534 -4.956 0.000
1.534 4.956 0.000
0.000 0.000 15.134
Ca Ti O
2 8 12
Cartesian
1.534 3.433 11.350 Ca
1.534 -3.433 3.783 Ca
1.534 3.948 1.916 Ti
1.534 3.948 5.651 Ti
1.534 1.485 0.605 Ti
1.534 1.485 6.962 Ti
1.534 -1.485 8.172 Ti
1.534 -1.485 14.529 Ti
1.534 -3.948 9.483 Ti
1.534 -3.948 13.218 Ti
0.000 0.000 0.000 O
0.000 0.000 7.567 O
1.534 3.299 3.783 O
1.534 2.336 8.982 O
1.534 2.336 13.719 O
1.534 0.357 2.329 O
1.534 0.357 5.238 O
1.534 -0.357 9.896 O
1.534 -0.357 12.805 O
1.534 -2.336 1.415 O
1.534 -2.336 6.152 O
1.534 -3.299 11.350 O
```

Top 6 peaks for 2θ = 10–90°, in order of rising 2θ:
- d 7.567, 2θ 11.69, I = 40
- d 2.583, 2θ 34.73, I = 86
- d 2.534, 2θ 35.42, I = 40
- d 2.224, 2θ 40.57, I = 40
- d 2.155, 2θ 41.92, I = 100
- d 2.054, 2θ 44.10, I = 50

=====

Record 7
Simulated powder diffraction line list
Compound: NaSrTbNbO6
Radiation: a wavelength of 1.5418 Å
Structure: a DFT-relaxed cell (PBE, the Materials Project)
Neutral-atom scattering factors, no anomalous dispersion.

Cell and atoms:
```
NaSrTbNbO6
1.0
0.000 4.238 4.238
4.238 0.000 4.238
4.238 4.238 0.000
Na Sr Tb Nb O
1 1 1 1 6
Cartesian
0.000 0.000 0.000 Na
4.238 4.238 4.238 Sr
6.357 6.357 6.357 Tb
2.119 2.119 2.119 Nb
2.119 2.119 0.115 O
2.119 0.115 2.119 O
4.123 2.119 2.119 O
0.115 2.119 2.119 O
2.119 4.123 2.119 O
2.119 2.119 4.123 O
```

Top 6 peaks for 2θ = 10–90°, in order of rising 2θ:
- d 4.238, 2θ 20.96, I = 34
- d 2.997, 2θ 29.81, I = 100
- d 2.119, 2θ 42.67, I = 35
- d 1.730, 2θ 52.92, I = 40
- d 1.498, 2θ 61.92, I = 21
- d 1.133, 2θ 85.78, I = 21

=====

Record 8
Simulated powder diffraction line list
Compound: Ba4MnN4
Radiation: a wavelength of 1.5418 Å
Structure: a DFT-relaxed cell (PBE, the Materials Project)
Neutral-atom scattering factors, no anomalous dispersion.

Cell and atoms:
```
Ba4MnN4
1.0
6.468 0.000 0.000
-0.830 7.370 0.000
-0.611 -2.517 9.061
Ba Mn N
8 2 8
Cartesian
0.893 2.083 3.889 Ba
0.576 1.591 8.093 Ba
1.429 0.530 0.821 Ba
1.307 -1.372 5.691 Ba
3.719 6.225 3.370 Ba
3.597 4.322 8.240 Ba
4.450 3.261 0.968 Ba
4.133 2.769 5.172 Ba
0.503 5.051 2.368 Mn
4.524 -0.198 6.693 Mn
-0.593 4.193 3.457 N
-0.383 5.443 0.885 N
1.806 -0.795 3.095 N
1.902 4.060 1.999 N
3.124 0.793 7.062 N
3.220 5.648 5.966 N
5.409 -0.591 8.176 N
5.620 0.660 5.604 N
```

Top 6 peaks for 2θ = 10–90°, in order of rising 2θ:
- d 3.640, 2θ 24.46, I = 41
- d 3.599, 2θ 24.74, I = 45
- d 3.316, 2θ 26.88, I = 44
- d 3.211, 2θ 27.79, I = 95
- d 3.198, 2θ 27.90, I = 100
- d 2.860, 2θ 31.28, I = 80